1.
LaCu6P4: calculated X-ray diffraction stick pattern (a wavelength of 1.5418 Å), based on a crystal structure in Alexandria, relaxed with PBE.
Lines closer than 0.1° are merged.

Atomic structure:
```
data_LaCu6P4
_chemical_formula_sum 'La1 Cu6 P4'
_symmetry_space_group_name_H-M 'P 1'
_symmetry_Int_Tables_number 1
_symmetry_space_group_name_Hall 'P 1'
_cell_length_a 6.1809
_cell_length_b 6.1809
_cell_length_c 6.1809
_cell_angle_alpha 116.91
_cell_angle_beta 116.91
_cell_angle_gamma 95.44
loop_
_atom_site_label
_atom_site_fract_x
_atom_site_fract_y
_atom_site_fract_z
La1 0.0000 0.0000 0.0000
Cu1 0.0000 0.5000 0.5000
Cu2 0.2275 0.2275 0.7104
Cu3 0.4830 0.7725 0.0000
Cu4 0.5000 0.0000 0.5000
Cu5 0.5170 0.5170 0.2896
Cu6 0.7725 0.4830 0.0000
P1 0.1391 0.5661 0.0000
P2 0.4339 0.4339 0.5730
P3 0.5661 0.1391 0.0000
P4 0.8609 0.8609 0.4270
```

Top 6 peaks for 2θ from 10° to 90°, sorted by position:
| 2θ (°) | I/Imax |
| --- | --- |
| 32.78 | 61 |
| 35.19 | 100 |
| 39.41 | 31 |
| 43.36 | 40 |
| 45.27 | 44 |
| 52.31 | 33 |

2.
LaCu4P3: calculated X-ray diffraction stick pattern (a wavelength of 1.5418 Å), based on a crystal structure in Alexandria, relaxed with PBE.
Lines closer than 0.1° are merged.

Atomic structure:
```
data_LaCu4P3
_chemical_formula_sum 'La2 Cu8 P6'
_symmetry_space_group_name_H-M 'P 1'
_symmetry_Int_Tables_number 1
_symmetry_space_group_name_Hall 'P 1'
_cell_length_a 5.8022
_cell_length_b 5.8022
_cell_length_c 7.3788
_cell_angle_alpha 90.00
_cell_angle_beta 90.00
_cell_angle_gamma 90.00
loop_
_atom_site_label
_atom_site_fract_x
_atom_site_fract_y
_atom_site_fract_z
La1 0.2500 0.2500 0.0187
La2 0.7500 0.7500 0.9813
Cu1 0.0174 0.0174 0.6740
Cu2 0.0174 0.4826 0.6740
Cu3 0.4826 0.0174 0.6740
Cu4 0.4826 0.4826 0.6740
Cu5 0.5174 0.5174 0.3260
Cu6 0.5174 0.9826 0.3260
Cu7 0.9826 0.5174 0.3260
Cu8 0.9826 0.9826 0.3260
P1 0.2500 0.2500 0.4755
P2 0.2500 0.7500 0.1536
P3 0.2500 0.7500 0.8464
P4 0.7500 0.2500 0.1536
P5 0.7500 0.2500 0.8464
P6 0.7500 0.7500 0.5245
```

Top 6 peaks for 2θ from 10° to 90°, sorted by position:
| 2θ (°) | I/Imax |
| --- | --- |
| 32.64 | 49 |
| 33.18 | 100 |
| 36.53 | 28 |
| 39.52 | 77 |
| 44.15 | 76 |
| 58.60 | 24 |

3.
La2Cu6P3: calculated X-ray diffraction stick pattern (a wavelength of 1.5418 Å), based on a crystal structure in Alexandria, relaxed with PBE.
Lines closer than 0.1° are merged.

Atomic structure:
```
data_La2Cu6P3
_chemical_formula_sum 'La2 Cu6 P3'
_symmetry_space_group_name_H-M 'P 1'
_symmetry_Int_Tables_number 1
_symmetry_space_group_name_Hall 'P 1'
_cell_length_a 7.2570
_cell_length_b 7.2570
_cell_length_c 3.9985
_cell_angle_alpha 90.00
_cell_angle_beta 90.00
_cell_angle_gamma 120.00
loop_
_atom_site_label
_atom_site_fract_x
_atom_site_fract_y
_atom_site_fract_z
La1 0.3333 0.6667 0.0000
La2 0.6667 0.3333 0.0000
Cu1 0.0000 0.1953 0.0000
Cu2 0.0000 0.7166 0.5000
Cu3 0.1953 0.0000 0.0000
Cu4 0.2834 0.2834 0.5000
Cu5 0.7166 0.0000 0.5000
Cu6 0.8047 0.8047 0.0000
P1 0.0000 0.3652 0.5000
P2 0.3652 0.0000 0.5000
P3 0.6348 0.6348 0.5000
```

Top 6 peaks for 2θ from 10° to 90°, sorted by position:
| 2θ (°) | I/Imax |
| --- | --- |
| 33.35 | 100 |
| 37.88 | 25 |
| 43.18 | 26 |
| 44.36 | 49 |
| 45.36 | 22 |
| 72.92 | 20 |